This entry pairs a crystal structure of Li2Ti3FeO8 with its computed powder diffraction line list. Radiation: Cu Kα. Structure: a cell relaxed with PBE+U.
Neutral-atom scattering factors, no anomalous dispersion.

The 10 most intense peaks (2θ = 10–90°), sorted by position:
2theta	I/Imax
18.05	27.6
18.16	100.0
35.02	15.7
35.15	43.4
42.67	75.0
56.46	20.8
61.79	22.2
62.08	22.6
65.25	7.9
78.27	8.5

Structural model:
Cell: 6.006 6.006 6.006 Å, 59.72 59.72 59.72°
Fractional positions:
1 Li 0.122 0.122 0.122
2 Li 0.878 0.878 0.878
3 Ti 0.000 0.500 0.500
4 Ti 0.500 0.000 0.500
5 Ti 0.500 0.500 0.000
6 Fe 0.500 0.500 0.500
7 O 0.257 0.257 0.711
8 O 0.257 0.711 0.257
9 O 0.262 0.262 0.262
10 O 0.289 0.743 0.743
11 O 0.711 0.257 0.257
12 O 0.738 0.738 0.738
13 O 0.743 0.289 0.743
14 O 0.743 0.743 0.289